1.
Computed X-ray diffraction stick pattern
Compound: Cs2P2PdPt2
Radiation: λ = 1.5418 Å (Cu Kα)
Structure: a GGA-PBE-relaxed structure

Cell and atoms:
abc: 13.817 4.288 8.887
angles: 90.00 128.12 90.00
Space group C2/m (No. 12)
One atom of each set of equivalent atoms:
Cs: 0.061 0.000 0.341 (multiplicity 4)
P: 0.206 0.500 0.127 (multiplicity 4)
Pd: 0.000 0.500 0.000 (multiplicity 2)
Pt: 0.239 0.500 0.891 (multiplicity 4)

Principal peaks in the range 15° ≤ 2θ ≤ 90°, by angle:
2θ 26.26, I 34; 2θ 26.88, I 62; 2θ 28.16, I 79; 2θ 30.30, I 100; 2θ 31.04, I 27; 2θ 32.96, I 23; 2θ 37.87, I 23; 2θ 40.15, I 22; 2θ 42.15, I 29; 2θ 47.08, I 16; 2θ 50.70, I 22; 2θ 51.02, I 29


2.
Computed X-ray diffraction stick pattern
Compound: Hf4Co3Cu
Radiation: λ = 1.5418 Å (Cu Kα)
Structure: a GGA-PBE-relaxed structure

Cell and atoms:
abc: 3.251 4.141 9.638
angles: 90.00 90.00 90.00
Space group Pmm2 (No. 25)
One atom of each set of equivalent atoms:
Hf: 0.000 0.000 0.000 (multiplicity 1)
Hf: 0.000 0.500 0.270 (multiplicity 1)
Hf: 0.500 0.000 0.482 (multiplicity 1)
Hf: 0.500 0.500 0.776 (multiplicity 1)
Co: 0.000 0.500 0.551 (multiplicity 1)
Co: 0.500 0.000 0.217 (multiplicity 1)
Co: 0.500 0.500 0.044 (multiplicity 1)
Cu: 0.000 0.000 0.711 (multiplicity 1)

Principal peaks in the range 15° ≤ 2θ ≤ 90°, by angle:
2θ 28.42, I 45; 2θ 36.35, I 100; 2θ 37.32, I 30; 2θ 39.43, I 34; 2θ 43.45, I 16; 2θ 43.71, I 30; 2θ 45.33, I 39; 2θ 56.62, I 14; 2θ 58.80, I 16; 2θ 60.11, I 15; 2θ 60.32, I 20; 2θ 74.16, I 12


3.
Computed X-ray diffraction stick pattern
Compound: Sc2Si4Os3
Radiation: λ = 1.5418 Å (Cu Kα)
Structure: a GGA-PBE-relaxed structure

Cell and atoms:
abc: 5.465 9.205 11.687
angles: 90.00 90.00 90.00
Space group Fmmm (No. 69)
One atom of each set of equivalent atoms:
Sc: 0.000 0.000 0.131 (multiplicity 8)
Si: 0.000 0.173 0.337 (multiplicity 16)
Os: 0.000 0.000 0.500 (multiplicity 4)
Os: 0.250 0.250 0.000 (multiplicity 8)

Principal peaks in the range 15° ≤ 2θ ≤ 90°, by angle:
2θ 15.16, I 100; 2θ 20.37, I 19; 2θ 29.79, I 14; 2θ 30.60, I 12; 2θ 38.31, I 29; 2θ 39.15, I 15; 2θ 40.92, I 19; 2θ 41.42, I 47; 2θ 42.21, I 21; 2θ 46.63, I 12; 2θ 49.80, I 21; 2θ 61.87, I 11